Diffraction record for Ti5MnIr2Pt2. The powder diffraction line list is calculated, not measured: it uses a PBE-relaxed structure and Cu Kα.
Neutral-atom scattering factors, no anomalous dispersion.

Structure:
```
data_Ti5MnIr2Pt2
_chemical_formula_sum 'Ti10 Mn2 Ir4 Pt4'
_cell_length_a 10.564
_cell_length_b 10.564
_cell_length_c 2.901
_cell_angle_alpha 90.00
_cell_angle_beta 90.00
_cell_angle_gamma 90.00
_symmetry_space_group_name_H-M 'P 4/m b m'
_symmetry_Int_Tables_number 127
_symmetry_space_group_name_Hall '-P 4 2ab'
loop_
_atom_site_label
_atom_site_type_symbol
_atom_site_fract_x
_atom_site_fract_y
_atom_site_fract_z
Ti1 Ti 0.000 0.500 0.000
Ti2 Ti 0.130 0.150 0.000
Mn1 Mn 0.000 0.000 0.500
Ir1 Ir 0.146 0.354 0.500
Pt1 Pt 0.153 0.653 0.500
```

Main lines, most intense first (2θ from 10° to 80°):
2θ = 41.21°, intensity 100; 2θ = 33.94°, intensity 51; 2θ = 26.69°, intensity 42; 2θ = 48.16°, intensity 41; 2θ = 11.85°, intensity 38; 2θ = 76.05°, intensity 35; 2θ = 36.07°, intensity 26; 2θ = 30.82°, intensity 23; 2θ = 48.76°, intensity 22; 2θ = 51.93°, intensity 20; 2θ = 46.50°, intensity 18; 2θ = 38.10°, intensity 16

---

Diffraction record for Pu2MnIr3. The powder diffraction line list is calculated, not measured: it uses a PBE-relaxed structure and Cu Kα.
Neutral-atom scattering factors, no anomalous dispersion.

Structure:
```
data_Pu2MnIr3
_chemical_formula_sum 'Pu6 Mn3 Ir9'
_cell_length_a 5.4978
_cell_length_b 5.4978
_cell_length_c 12.1873
_cell_angle_alpha 90.00
_cell_angle_beta 90.00
_cell_angle_gamma 120.00
_symmetry_space_group_name_H-M 'R -3 m'
_symmetry_Int_Tables_number 166
_symmetry_space_group_name_Hall '-R 3 2"'
loop_
_atom_site_label
_atom_site_type_symbol
_atom_site_fract_x
_atom_site_fract_y
_atom_site_fract_z
Pu1 Pu 0.0000 0.0000 0.1226
Mn1 Mn 0.0000 0.0000 0.5000
Ir1 Ir 0.0000 0.5000 0.0000
```

Main lines, most intense first (2θ from 10° to 80°):
2θ = 38.53°, intensity 100; 2θ = 39.59°, intensity 81; 2θ = 34.96°, intensity 65; 2θ = 40.69°, intensity 49; 2θ = 41.63°, intensity 41; 2θ = 68.24°, intensity 32; 2θ = 59.67°, intensity 29; 2θ = 73.85°, intensity 25; 2θ = 32.57°, intensity 24; 2θ = 64.35°, intensity 23; 2θ = 62.87°, intensity 21; 2θ = 66.54°, intensity 19

---

Diffraction record for PuMnSi2Ir. The powder diffraction line list is calculated, not measured: it uses a PBE-relaxed structure and Cu Kα.
Neutral-atom scattering factors, no anomalous dispersion.

Structure:
```
data_PuMnSi2Ir
_chemical_formula_sum 'Pu2 Mn2 Si4 Ir2'
_cell_length_a 3.966
_cell_length_b 3.966
_cell_length_c 10.402
_cell_angle_alpha 90.00
_cell_angle_beta 90.00
_cell_angle_gamma 90.00
_symmetry_space_group_name_H-M 'I -4 m 2'
_symmetry_Int_Tables_number 119
_symmetry_space_group_name_Hall 'I -4 -2'
loop_
_atom_site_label
_atom_site_type_symbol
_atom_site_fract_x
_atom_site_fract_y
_atom_site_fract_z
Pu1 Pu 0.000 0.000 0.000
Mn1 Mn 0.000 0.500 0.750
Si1 Si 0.000 0.000 0.383
Ir1 Ir 0.000 0.500 0.250
```

Main lines, most intense first (2θ from 10° to 80°):
2θ = 36.40°, intensity 100; 2θ = 24.01°, intensity 64; 2θ = 34.35°, intensity 44; 2θ = 58.49°, intensity 40; 2θ = 45.75°, intensity 32; 2θ = 78.44°, intensity 22; 2θ = 34.49°, intensity 22; 2θ = 63.04°, intensity 19; 2θ = 49.47°, intensity 18; 2θ = 52.32°, intensity 17; 2θ = 77.28°, intensity 13; 2θ = 69.66°, intensity 13

---

Diffraction record for PuUMnIr. The powder diffraction line list is calculated, not measured: it uses a PBE-relaxed structure and Cu Kα.
Neutral-atom scattering factors, no anomalous dispersion.

Structure:
```
data_PuUMnIr
_chemical_formula_sum 'Pu4 U4 Mn4 Ir4'
_cell_length_a 6.519
_cell_length_b 6.519
_cell_length_c 6.519
_cell_angle_alpha 90.00
_cell_angle_beta 90.00
_cell_angle_gamma 90.00
_symmetry_space_group_name_H-M 'F -4 3 m'
_symmetry_Int_Tables_number 216
_symmetry_space_group_name_Hall 'F -4 2 3'
loop_
_atom_site_label
_atom_site_type_symbol
_atom_site_fract_x
_atom_site_fract_y
_atom_site_fract_z
Pu1 Pu 0.000 0.000 0.000
U1 U 0.250 0.250 0.750
Mn1 Mn 0.250 0.250 0.250
Ir1 Ir 0.000 0.000 0.500
```

Main lines, most intense first (2θ from 10° to 80°):
2θ = 39.08°, intensity 100; 2θ = 70.81°, intensity 36; 2θ = 56.46°, intensity 17; 2θ = 23.64°, intensity 15; 2θ = 46.19°, intensity 8; 2θ = 27.36°, intensity 5; 2θ = 62.06°, intensity 4; 2θ = 75.83°, intensity 3; 2θ = 63.86°, intensity 2; 2θ = 48.37°, intensity 1